Record 1
The following is a theoretical powder diffraction line list of CaPr3Bi2. It was derived from a GGA-PBE-relaxed structure, using Cu Kα X-rays.
Intensities are scaled so that the largest is 100.

Cell and atoms:
Unit cell a=4.7089 b=4.7089 c=9.0759 alpha=90.00 beta=90.00 gamma=90.00
Positions (direct):
Ca 0.0000 0.0000 0.0000
Pr 0.0000 0.5000 0.3525
Pr 0.5000 0.0000 0.6475
Pr 0.5000 0.5000 0.0000
Bi 0.0000 0.5000 0.7195
Bi 0.5000 0.0000 0.2805

The 10 most intense peaks (10 to 90 degrees two-theta), by angle:
2θ = 21.3°, rel. 29; 2θ = 26.8°, rel. 55; 2θ = 28.6°, rel. 68; 2θ = 29.5°, rel. 37; 2θ = 33.4°, rel. 100; 2θ = 35.3°, rel. 43; 2θ = 38.2°, rel. 64; 2θ = 49.0°, rel. 37; 2θ = 53.0°, rel. 28; 2θ = 66.0°, rel. 28


Record 2
The following is a theoretical powder diffraction line list of PmPrTm2Bi4. It was derived from a GGA-PBE-relaxed structure, using Cu Kα X-rays.
Intensities are scaled so that the largest is 100.

Cell and atoms:
Unit cell a=7.8218 b=4.5298 c=7.8398 alpha=90.00 beta=109.52 gamma=90.00
Positions (direct):
Pm 0.0000 0.0000 0.0000
Pr 0.0000 0.5000 0.5000
Tm 0.5000 0.0000 0.5000
Tm 0.5000 0.5000 0.0000
Bi 0.2616 0.5000 0.2521
Bi 0.2627 0.0000 0.7560
Bi 0.7373 0.0000 0.2440
Bi 0.7384 0.5000 0.7479

The 10 most intense peaks (10 to 90 degrees two-theta), by angle:
2θ = 27.9°, rel. 100; 2θ = 39.8°, rel. 65; 2θ = 39.9°, rel. 13; 2θ = 49.3°, rel. 21; 2θ = 49.5°, rel. 7; 2θ = 57.6°, rel. 13; 2θ = 65.2°, rel. 19; 2θ = 65.3°, rel. 18; 2θ = 72.3°, rel. 21; 2θ = 72.5°, rel. 6


Record 3
The following is a theoretical powder diffraction line list of LiMg5Pb. It was derived from a GGA-PBE-relaxed structure, using Cu Kα X-rays.
Intensities are scaled so that the largest is 100.

Cell and atoms:
Unit cell a=7.8450 b=7.8450 c=7.8450 alpha=129.70 beta=101.27 gamma=99.54
Positions (direct):
Li 0.2523 0.0023 0.2500
Li 0.7477 0.9977 0.7500
Mg 0.0000 0.2443 0.2443
Mg 0.0000 0.7557 0.7557
Mg 0.2628 0.5128 0.7500
Mg 0.3132 0.2482 0.0649
Mg 0.3167 0.7518 0.5649
Mg 0.5000 0.2443 0.7443
Mg 0.5000 0.7557 0.2557
Mg 0.6833 0.2482 0.4351
Mg 0.6868 0.7518 0.9351
Mg 0.7372 0.4872 0.2500
Pb 0.0000 0.0000 0.5000
Pb 0.0000 0.5000 0.0000

The 10 most intense peaks (10 to 90 degrees two-theta), by angle:
2θ = 12.5°, rel. 100; 2θ = 17.5°, rel. 22; 2θ = 25.1°, rel. 23; 2θ = 27.9°, rel. 18; 2θ = 28.3°, rel. 30; 2θ = 29.6°, rel. 44; 2θ = 35.4°, rel. 15; 2θ = 37.0°, rel. 50; 2θ = 38.0°, rel. 15; 2θ = 39.0°, rel. 20


Record 4
The following is a theoretical powder diffraction line list of Ba2In6Ag3. It was derived from a GGA-PBE-relaxed structure, using Cu Kα X-rays.
Intensities are scaled so that the largest is 100.

Cell and atoms:
Unit cell a=8.7766 b=8.7766 c=4.7181 alpha=90.00 beta=90.00 gamma=120.00
Positions (direct):
Ba 0.3333 0.6667 0.0000
Ba 0.6667 0.3333 0.0000
In 0.0000 0.1976 0.0000
In 0.0000 0.6963 0.5000
In 0.1976 0.0000 0.0000
In 0.3037 0.3037 0.5000
In 0.6963 0.0000 0.5000
In 0.8024 0.8024 0.0000
Ag 0.0000 0.3697 0.5000
Ag 0.3697 0.0000 0.5000
Ag 0.6303 0.6303 0.5000

The 10 most intense peaks (10 to 90 degrees two-theta), by angle:
2θ = 27.8°, rel. 100; 2θ = 31.1°, rel. 20; 2θ = 35.4°, rel. 45; 2θ = 36.6°, rel. 70; 2θ = 38.1°, rel. 33; 2θ = 40.4°, rel. 17; 2θ = 42.9°, rel. 14; 2θ = 45.6°, rel. 15; 2θ = 53.0°, rel. 27; 2θ = 59.0°, rel. 31


Record 5
The following is a theoretical powder diffraction line list of Sm2Mg2Pt15. It was derived from a GGA-PBE-relaxed structure, using Cu Kα X-rays.
Intensities are scaled so that the largest is 100.

Cell and atoms:
Unit cell a=7.0185 b=7.0185 c=7.0185 alpha=82.51 beta=82.51 gamma=82.51
Positions (direct):
Sm 0.1479 0.1479 0.1479
Sm 0.8521 0.8521 0.8521
Mg 0.3983 0.3983 0.3983
Mg 0.6017 0.6017 0.6017
Pt 0.0000 0.5000 0.5000
Pt 0.1565 0.1565 0.6585
Pt 0.1565 0.6585 0.1565
Pt 0.1878 0.5000 0.8122
Pt 0.1878 0.8122 0.5000
Pt 0.3415 0.8435 0.8435
Pt 0.5000 0.0000 0.5000
Pt 0.5000 0.1878 0.8122
Pt 0.5000 0.5000 0.0000
Pt 0.5000 0.8122 0.1878
Pt 0.6585 0.1565 0.1565
Pt 0.8122 0.1878 0.5000
Pt 0.8122 0.5000 0.1878
Pt 0.8435 0.3415 0.8435
Pt 0.8435 0.8435 0.3415

The 10 most intense peaks (10 to 90 degrees two-theta), by angle:
2θ = 19.2°, rel. 49; 2θ = 38.9°, rel. 32; 2θ = 39.1°, rel. 100; 2θ = 39.6°, rel. 39; 2θ = 43.9°, rel. 77; 2θ = 44.4°, rel. 16; 2θ = 56.7°, rel. 16; 2θ = 63.7°, rel. 21; 2θ = 70.5°, rel. 22; 2θ = 84.0°, rel. 24


Q: What is the formula in the fifth record?
A: Sm2Mg2Pt15